# Ti3Cu3Pd2
Calculated powder diffractogram, λ = 1.5418 Å (Cu Kα). Input: a DFT-relaxed cell (PBE, Alexandria).

The 10 most intense peaks (5 to 70 degrees two-theta), sorted by position:
(2 0 0), 2θ 11.40, I = 16
(4 0 0), 2θ 22.91, I = 4
(3 1 -1), 2θ 34.77, I = 5
(3 1 1), 2θ 40.33, I = 100
(2 0 -2), 2θ 45.46, I = 18
(8 0 0), 2θ 46.80, I = 16
(0 2 0), 2θ 48.44, I = 16
(6 0 2), 2θ 67.29, I = 10
(2 2 -2), 2θ 68.61, I = 9
(8 2 0), 2θ 69.64, I = 10

Structural model:
Cell: 16.0300 3.7577 3.9907 Å, 90.00 104.36 90.00°
Space group C2/m (No. 12)
One atom of each set of equivalent atoms:
Ti (0.0000, 0.0000, 0.0000)
Ti (0.1291, 0.0000, 0.6297)
Cu (0.0000, 0.5000, 0.5000)
Cu (0.1216, 0.5000, 0.1226)
Pd (0.2468, 0.0000, 0.2467)